Record 1
Calculated XRD peak list
Compound: Pr2NdAlCl3
Radiation: CuKα
Structure: DFT lattice parameters and positions (PBE)
Lines closer than 0.1° are merged.

The 6 most intense peaks (2θ = 10–90°), low angle first:
two_theta	d/Å	I/Imax
15.04	5.891	30
21.33	4.166	35
26.20	3.401	50
30.34	2.946	100
43.45	2.083	73
71.64	1.317	32

Crystal structure
```
data_Pr2NdAlCl3
_space_group_name_H-M_alt 'P 1'
_space_group_IT_number 1
_space_group_name_Hall 'P 1'
_cell_length_a 5.8935
_cell_length_b 5.8935
_cell_length_c 5.8870
_cell_angle_alpha 90.00
_cell_angle_beta 90.00
_cell_angle_gamma 90.00
loop_
_atom_site_label
_atom_site_fract_x
_atom_site_fract_y
_atom_site_fract_z
Pr1 0.0000 0.5000 0.0000
Pr2 0.5000 0.0000 0.0000
Nd1 0.0000 0.0000 0.5000
Al1 0.0000 0.0000 0.0000
Cl1 0.0000 0.5000 0.5000
Cl2 0.5000 0.0000 0.5000
Cl3 0.5000 0.5000 0.0000
```

Record 2
Calculated XRD peak list
Compound: TlCoAgTeSe2
Radiation: CuKα
Structure: DFT lattice parameters and positions (PBE)
Lines closer than 0.1° are merged.

The 6 most intense peaks (2θ = 10–90°), low angle first:
two_theta	d/Å	I/Imax
16.87	5.254	51
30.59	2.922	100
31.79	2.815	97
34.13	2.627	88
36.03	2.493	65
46.48	1.954	62

Crystal structure
```
data_TlCoAgTeSe2
_space_group_name_H-M_alt 'P 1'
_space_group_IT_number 1
_space_group_name_Hall 'P 1'
_cell_length_a 7.9002
_cell_length_b 7.9002
_cell_length_c 10.5090
_cell_angle_alpha 90.00
_cell_angle_beta 90.00
_cell_angle_gamma 154.00
loop_
_atom_site_label
_atom_site_fract_x
_atom_site_fract_y
_atom_site_fract_z
Tl1 0.2154 0.7846 0.7500
Tl2 0.7846 0.2154 0.2500
Co1 0.5000 0.5000 0.0000
Co2 0.5000 0.5000 0.5000
Ag1 0.1268 0.8732 0.2500
Ag2 0.8732 0.1268 0.7500
Te1 0.4670 0.5330 0.2500
Te2 0.5330 0.4670 0.7500
Se1 0.1041 0.8959 0.0073
Se2 0.1041 0.8959 0.4927
Se3 0.8959 0.1041 0.5073
Se4 0.8959 0.1041 0.9927
```